1.
# Y3Tm13
Computed X-ray diffraction stick pattern, Cu Kα, 1.54184 Å. Input: a cell relaxed with PBE.

The 10 most intense peaks (10 to 90 degrees two-theta), in order of falling intensity:
| index | 2theta | Rel. int. |
| --- | --- | --- |
| 2 2 2 | 33.10 | 100 |
| 0 0 4 | 28.81 | 25 |
| 0 4 0 | 32.25 | 24 |
| 4 4 0 | 61.67 | 22 |
| 2 6 2 | 58.05 | 20 |
| 4 0 0 | 51.04 | 20 |
| 0 2 8 | 62.20 | 16 |
| 0 4 4 | 43.78 | 16 |
| 4 2 8 | 84.50 | 9 |
| 4 8 0 | 89.32 | 8 |

Structural model:
```
data_Y3Tm13
_chemical_formula_sum 'Y6 Tm26'
_symmetry_space_group_name_H-M 'A m m 2'
_symmetry_Int_Tables_number 38
_cell_length_a 7.164
_cell_length_b 11.104
_cell_length_c 12.386
_cell_angle_alpha 90.00
_cell_angle_beta 90.00
_cell_angle_gamma 90.00
loop_
_symmetry_equiv_pos_as_xyz
'x,y,z'
'-x,-y,z'
'-x,y,z'
'x,-y,z'
'x,y+1/2,z+1/2'
'-x,-y+1/2,z+1/2'
'-x,y+1/2,z+1/2'
'x,-y+1/2,z+1/2'
loop_
_atom_site_label
_atom_site_fract_x
_atom_site_fract_y
_atom_site_fract_z
_atom_site_occupancy
Y1 0.000 0.000 0.000 1
Y2 0.251 0.000 0.252 1
Tm1 0.000 0.000 0.502 1
Tm2 0.000 0.249 0.834 1
Tm3 0.250 0.000 0.750 1
Tm4 0.251 0.249 0.584 1
Tm5 0.500 0.000 0.000 1
Tm6 0.500 0.000 0.502 1
Tm7 0.500 0.248 0.835 1
```

2.
# V3SnH3
Computed X-ray diffraction stick pattern, Cu Kα, 1.54184 Å. Input: a cell relaxed with PBE.

The 10 most intense peaks (10 to 90 degrees two-theta), in order of falling intensity:
| index | 2theta | Rel. int. |
| --- | --- | --- |
| 2 1 1 | 43.08 | 100 |
| 3 2 1 | 68.22 | 50 |
| 2 0 0 | 34.88 | 45 |
| 2 1 0 | 39.16 | 41 |
| 1 1 0 | 24.47 | 34 |
| 4 2 0 | 84.17 | 15 |
| 3 3 2 | 89.33 | 13 |
| 4 0 0 | 73.67 | 12 |
| 3 1 0 | 56.58 | 9 |
| 3 2 0 | 65.42 | 8 |

Structural model:
```
data_V3SnH3
_chemical_formula_sum 'V6 Sn2 H6'
_symmetry_space_group_name_H-M 'P m -3 n'
_symmetry_Int_Tables_number 223
_symmetry_space_group_name_Hall '-P 4n 2 3'
_cell_length_a 5.144
_cell_length_b 5.144
_cell_length_c 5.144
_cell_angle_alpha 90.00
_cell_angle_beta 90.00
_cell_angle_gamma 90.00
loop_
_atom_site_label
_atom_site_fract_x
_atom_site_fract_y
_atom_site_fract_z
_atom_site_occupancy
V1 0.000 0.250 0.500 1
Sn1 0.000 0.000 0.000 1
H1 0.000 0.500 0.250 1
```